For Li4ZnPt, a cell relaxed with PBE gives the theoretical X-ray powder pattern in this record (a wavelength of 1.5418 Å).

Principal peaks in the range 10 to 80 degrees two-theta, by intensity:
| 2θ (°) | I/Imax |
| --- | --- |
| 23.50 | 100 |
| 23.60 | 50 |
| 20.83 | 30 |
| 41.43 | 29 |
| 41.78 | 26 |
| 42.40 | 25 |
| 42.88 | 24 |
| 34.70 | 17 |
| 48.06 | 15 |
| 41.24 | 15 |

Cell lengths 5.034, 5.034, 4.381 Å; angles 114.79, 114.79, 96.95 degrees
Atoms (fractional coordinates):
Li (0.078, 0.410, 0.245)
Li (0.410, 0.078, 0.245)
Li (0.590, 0.922, 0.755)
Li (0.922, 0.590, 0.755)
Zn (0.500, 0.500, 0.000)
Pt (0.000, 0.000, 0.500)